This entry pairs a crystal structure of Li2Mn3F8 with its theoretical X-ray diffraction stick pattern. Radiation: Cu Ka. Structure: a DFT-relaxed cell (PBE+U, Alexandria).
Neutral-atom scattering factors, no anomalous dispersion.

Cell and atoms:
abc: 18.381 6.029 5.643
angles: 90.00 93.89 90.00
Space group C2/c (No. 15)
Symmetry-distinct sites (fractional):
Li 0.112 0.146 0.263
Mn 0.000 0.365 0.750
Mn 0.199 0.294 0.736
F 0.056 0.361 0.090
F 0.089 0.161 0.643
F 0.189 0.373 0.371
F 0.197 0.089 0.028

Principal peaks in the range 10 to 90 degrees two-theta, in order of rising 2θ:
| 2θ (°) | I_rel | h k l |
| --- | --- | --- |
| 15.5 | 497 | 1 1 0 |
| 19.4 | 338 | 4 0 0 |
| 21.9 | 327 | 1 1 -1 |
| 22.4 | 567 | 1 1 1 |
| 28.5 | 328 | 5 1 0 |
| 29.6 | 291 | 0 2 0 |
| 31.8 | 1000 | 5 1 -1 |
| 38.6 | 973 | 4 2 -1 |
| 44.5 | 296 | 5 1 2 |
| 51.9 | 338 | 5 3 0 |